[1]
Diffraction record for V5W3O20. The X-ray diffraction stick pattern is computed, not measured: it uses a cell relaxed with PBE+U and Cu Ka.

The 12 most intense peaks (2θ = 10–80°), sorted by position:
- 14.27 deg, intensity 38
- 15.81 deg, intensity 54
- 22.72 deg, intensity 100
- 24.44 deg, intensity 86
- 27.02 deg, intensity 26
- 28.77 deg, intensity 45
- 31.93 deg, intensity 58
- 33.58 deg, intensity 43
- 43.76 deg, intensity 22
- 47.75 deg, intensity 25
- 53.08 deg, intensity 22
- 57.31 deg, intensity 22

```
56
Lattice="7.6196 0.0000 0.0000 -0.0122 7.8273 0.0000 -3.8005 -0.0908 12.4136" Properties=species:S:1:pos:R:3 pbc="T T T"
V 0.0038 1.5746 4.2723
V -1.9067 1.5245 10.4923
V -0.0076 5.5236 4.3193
V -1.8607 5.5204 10.4268
V -0.0024 6.1126 7.9599
V 3.8093 1.6240 4.4538
V 5.6676 2.2161 1.9869
V 3.8145 2.2129 8.0943
V 5.7137 6.2120 1.9213
V 3.8031 6.1619 8.1414
W 1.8832 6.0451 1.7737
W -0.0053 2.1395 7.9934
W 1.9089 2.1404 1.8242
W 1.8980 5.5961 10.5894
W 3.8122 5.5970 4.4203
W 1.9237 1.6914 10.6399
O -0.0016 1.9586 2.2561
O 0.0294 5.8253 2.2561
O -1.8623 1.8875 8.4948
O -1.8485 5.8288 8.5431
O -1.9068 3.8783 10.5078
O -0.0221 7.7362 4.3268
O -1.9248 7.7009 10.5696
O -0.0025 3.8612 4.3711
O -1.9418 5.7824 12.3616
O 1.8721 1.9984 0.0078
O -0.0011 1.9218 6.2025
O -0.0033 5.8807 6.2841
O 1.8998 0.0433 1.8168
O 0.0045 -0.0185 8.0964
O 1.9129 3.9707 1.8713
O 0.0124 3.9236 8.0768
O 1.9310 5.8592 3.9024
O -0.0164 5.7817 10.2870
O 0.0382 1.8876 10.1849
O 1.9761 1.8779 3.8785
O 1.8308 5.8586 8.5352
O 3.7687 5.8489 2.2288
O 3.8234 1.9548 2.1266
O 1.8759 1.8774 8.5112
O 3.7945 3.8129 4.3368
O 1.8940 3.7658 10.5423
O 3.8024 7.7550 4.3172
O 1.9071 7.6932 10.5968
O 3.8102 1.8558 6.1295
O 3.8080 5.8147 6.2111
O 1.9348 5.7381 12.4058
O 5.7487 1.9541 0.0520
O 3.8094 3.8754 8.0425
O 5.7317 0.0356 1.8440
O 3.8290 0.0003 8.0869
O 5.7137 3.8582 1.9059
O 5.6555 1.9078 3.8705
O 5.6692 5.8490 3.9189
O 3.7776 1.9112 10.1575
O 3.8085 5.7779 10.1576
```

---

[2]
Diffraction record for CaCr2F12. The X-ray diffraction stick pattern is computed, not measured: it uses a cell relaxed with PBE+U and Cu Ka.

The 12 most intense peaks (2θ = 10–80°), sorted by position:
- 18.76 deg, intensity 24
- 19.60 deg, intensity 19
- 19.72 deg, intensity 19
- 19.91 deg, intensity 18
- 22.49 deg, intensity 100
- 22.67 deg, intensity 49
- 31.37 deg, intensity 11
- 37.77 deg, intensity 22
- 38.39 deg, intensity 11
- 45.92 deg, intensity 20
- 46.30 deg, intensity 10
- 50.78 deg, intensity 17

```
15
Lattice="5.4852 0.0000 0.0000 -2.6788 4.9744 0.0000 -0.1325 -2.9229 9.0031" Properties=species:S:1:pos:R:3 pbc="T T T"
Ca 0.0000 0.0000 0.0000
Cr -0.0862 0.2990 6.6607
Cr 2.7601 1.7525 2.3424
F -1.3031 2.6725 2.7836
F -1.0138 0.9392 8.1648
F 0.4352 -1.1270 7.7343
F -0.5634 1.7318 5.7856
F 0.8787 -0.3463 5.3490
F 1.2807 0.8450 1.6940
F 1.3931 1.2065 7.3091
F 1.7952 2.3978 3.6541
F 3.2373 0.3197 3.2174
F 2.2386 3.1785 1.2688
F 3.6877 1.1123 0.8383
F 3.9770 -0.6210 6.2195
```

---

[3]
Diffraction record for SrPrDyFeO6. The X-ray diffraction stick pattern is computed, not measured: it uses a cell relaxed with PBE+U and Cu Ka.

The 12 most intense peaks (2θ = 10–80°), sorted by position:
- 18.78 deg, intensity 14
- 30.90 deg, intensity 100
- 36.40 deg, intensity 10
- 38.08 deg, intensity 3
- 44.26 deg, intensity 31
- 48.47 deg, intensity 5
- 54.95 deg, intensity 40
- 58.59 deg, intensity 3
- 64.38 deg, intensity 19
- 67.72 deg, intensity 3
- 73.11 deg, intensity 17
- 76.27 deg, intensity 1

```
10
Lattice="0.0000 4.0931 4.0931 4.0931 0.0000 4.0931 4.0931 4.0931 0.0000" Properties=species:S:1:pos:R:3 pbc="T T T"
Sr 0.0000 0.0000 0.0000
Pr 4.0931 4.0931 4.0931
Dy 2.0466 2.0466 2.0466
Fe 6.1397 6.1397 6.1397
O 6.1397 6.1397 4.2077
O 6.1397 4.2077 6.1397
O 8.0717 6.1397 6.1397
O 4.2077 6.1397 6.1397
O 6.1397 8.0717 6.1397
O 6.1397 6.1397 8.0717
```

---

[4]
Diffraction record for FeP4O12. The X-ray diffraction stick pattern is computed, not measured: it uses a cell relaxed with PBE+U and Cu Ka.

The 12 most intense peaks (2θ = 10–80°), sorted by position:
- 13.62 deg, intensity 29
- 14.49 deg, intensity 82
- 18.54 deg, intensity 71
- 18.83 deg, intensity 53
- 19.65 deg, intensity 37
- 23.67 deg, intensity 32
- 26.12 deg, intensity 32
- 26.88 deg, intensity 28
- 27.43 deg, intensity 24
- 29.96 deg, intensity 100
- 31.57 deg, intensity 25
- 43.73 deg, intensity 24

```
34
Lattice="6.4090 -3.9702 0.0000 6.4090 3.9702 0.0000 -4.7695 0.0000 9.0352" Properties=species:S:1:pos:R:3 pbc="T T T"
Fe 3.2045 1.9851 0.0000
Fe 0.8197 -1.9851 4.5176
P -0.9870 0.0845 6.2254
P 1.3978 -0.0845 1.7078
P 1.6138 2.0230 8.8956
P 4.0499 2.0230 4.6573
P 3.9986 -2.0230 4.3780
P 6.4346 -2.0230 0.1396
P 6.6507 0.0845 7.3274
P 9.0354 -0.0845 2.8098
O 1.5012 3.0891 7.6697
O 2.8348 2.6220 3.7981
O -1.1150 0.5294 7.6462
O 5.1060 2.0592 0.6623
O 4.1625 3.0891 5.8831
O 2.6902 0.5764 1.3173
O 7.5984 2.6220 0.7195
O 1.2698 -0.5294 3.1286
O 5.3272 2.0592 3.8553
O 0.3054 -0.5764 5.8349
O 3.5706 0.7216 5.2701
O 2.0931 0.7216 8.2828
O 5.9553 -0.7216 0.7524
O 4.4779 -0.7216 3.7652
O 7.7430 0.5764 3.2003
O 2.7212 -2.0592 5.1799
O 6.7787 0.5294 5.9066
O 0.4500 -2.6220 8.3157
O 5.3583 -0.5764 7.7179
O 3.8859 -3.0891 3.1521
O 2.9425 -2.0592 8.3729
O 9.1634 -0.5294 1.3890
O 5.2137 -2.6220 5.2372
O 6.5473 -3.0891 1.3655
```

---

[5]
Diffraction record for MgMnRe2H2O10. The X-ray diffraction stick pattern is computed, not measured: it uses a cell relaxed with PBE+U and Cu Ka.

The 12 most intense peaks (2θ = 10–80°), sorted by position:
- 15.64 deg, intensity 14
- 16.49 deg, intensity 48
- 16.60 deg, intensity 11
- 21.43 deg, intensity 17
- 22.97 deg, intensity 21
- 24.24 deg, intensity 100
- 25.38 deg, intensity 33
- 31.08 deg, intensity 19
- 33.95 deg, intensity 23
- 42.74 deg, intensity 12
- 49.66 deg, intensity 12
- 51.34 deg, intensity 13

```
16
Lattice="7.5710 -2.8773 0.0000 7.5710 2.8773 0.0000 -1.9500 0.0000 5.6674" Properties=species:S:1:pos:R:3 pbc="T T T"
Mg 0.0000 0.0000 0.0000
Mn -0.9750 0.0000 2.8337
Re 4.0833 0.0000 3.8570
Re 9.1086 0.0000 1.8104
H 0.6841 0.0000 4.9736
H 12.5078 0.0000 0.6938
O -0.2462 0.0000 4.6918
O 5.1042 1.4518 4.0630
O 3.3820 0.0000 2.2734
O 2.8258 0.0000 5.0424
O 8.0877 1.4518 1.6044
O 5.1042 -1.4518 4.0630
O 10.3661 0.0000 0.6250
O 9.8099 0.0000 3.3940
O 8.0877 -1.4518 1.6044
O 13.4381 0.0000 0.9756
```

---

[6]
Diffraction record for V2F9. The X-ray diffraction stick pattern is computed, not measured: it uses a cell relaxed with PBE+U and Cu Ka.

The 12 most intense peaks (2θ = 10–80°), sorted by position:
- 12.28 deg, intensity 10
- 19.87 deg, intensity 100
- 23.42 deg, intensity 11
- 24.70 deg, intensity 13
- 31.90 deg, intensity 21
- 39.65 deg, intensity 34
- 43.12 deg, intensity 7
- 47.90 deg, intensity 7
- 52.01 deg, intensity 16
- 56.22 deg, intensity 8
- 60.54 deg, intensity 7
- 62.34 deg, intensity 10

```
22
Lattice="5.1595 0.0000 0.0000 -2.5797 4.4682 0.0000 0.0000 0.0000 14.4185" Properties=species:S:1:pos:R:3 pbc="T T T"
V 0.0000 0.0000 0.0000
V 0.0000 0.0000 2.9326
V 0.0000 0.0000 7.2092
V 0.0000 0.0000 10.1419
F -0.6933 1.2008 1.3454
F -0.7612 1.3184 6.3682
F -0.7923 1.3722 10.9170
F -1.7875 3.0960 3.7078
F -1.8186 3.1499 13.5774
F -1.8865 3.2675 8.5546
F 1.3865 0.0000 1.3454
F 0.6933 1.2008 8.5546
F 1.5223 0.0000 6.3682
F 0.7612 1.3184 13.5774
F 1.5845 0.0000 10.9170
F 0.7923 1.3722 3.7078
F 3.5750 0.0000 3.7078
F 1.7875 3.0960 10.9170
F 3.6372 0.0000 13.5774
F 1.8186 3.1499 6.3682
F 3.7730 0.0000 8.5546
F 1.8865 3.2675 1.3454
```

---

[7]
Diffraction record for NdV2IO9. The X-ray diffraction stick pattern is computed, not measured: it uses a cell relaxed with PBE+U and Cu Ka.

The 12 most intense peaks (2θ = 10–80°), sorted by position:
- 12.04 deg, intensity 34
- 22.04 deg, intensity 100
- 24.22 deg, intensity 31
- 24.35 deg, intensity 49
- 27.25 deg, intensity 46
- 28.59 deg, intensity 65
- 30.00 deg, intensity 23
- 33.05 deg, intensity 79
- 41.42 deg, intensity 36
- 45.56 deg, intensity 38
- 47.33 deg, intensity 35
- 51.82 deg, intensity 21

```
52
Lattice="7.1046 0.0000 0.0000 0.0000 14.6972 0.0000 0.0000 0.0000 7.3113" Properties=species:S:1:pos:R:3 pbc="T T T"
Nd 1.0586 0.7107 1.8278
Nd 1.0586 6.6379 5.4835
Nd 6.0460 8.0593 1.8278
Nd 6.0460 13.9865 5.4835
V 1.2930 10.7061 5.4835
V 1.2930 11.3396 1.8278
V 3.2866 3.6743 0.0000
V 3.2866 3.6743 3.6557
V 3.8180 11.0229 0.0000
V 3.8180 11.0229 3.6557
V 5.8116 3.3576 5.4835
V 5.8116 3.9910 1.8278
I 2.1195 0.8143 5.4835
I 2.1195 6.5343 1.8278
I 4.9851 8.1628 5.4835
I 4.9851 13.8829 1.8278
O 0.0877 10.1745 1.8278
O 0.0877 11.8712 5.4835
O 0.5922 9.1753 5.4835
O 0.5922 12.8705 1.8278
O 1.2301 7.4887 0.5122
O 1.2301 7.4887 3.1434
O 1.2301 14.5571 4.1679
O 1.2301 14.5571 6.7991
O 1.8608 11.0229 0.0000
O 1.8608 11.0229 3.6557
O 2.3312 2.3173 0.3339
O 2.3312 2.3173 3.3218
O 2.3312 5.0313 3.9895
O 2.3312 5.0313 6.9774
O 3.3413 10.5795 5.4835
O 3.3413 11.4663 1.8278
O 3.3661 14.6954 1.8278
O 3.3661 7.3504 5.4835
O 3.7385 0.0018 5.4835
O 3.7385 7.3468 1.8278
O 3.7633 3.2309 5.4835
O 3.7633 4.1177 1.8278
O 4.7734 9.6658 0.3339
O 4.7734 9.6658 3.3218
O 4.7734 12.3799 3.9895
O 4.7734 12.3799 6.9774
O 5.2439 3.6743 0.0000
O 5.2439 3.6743 3.6557
O 5.8745 0.1401 0.5122
O 5.8745 0.1401 3.1434
O 5.8745 7.2085 4.1679
O 5.8745 7.2085 6.7991
O 6.5124 1.8267 5.4835
O 6.5124 5.5219 1.8278
O 7.0169 2.8260 1.8278
O 7.0169 4.5226 5.4835
```